(1)
Theoretical powder diffraction line list of Ni3RhBr9 for copper Kα, from a GGA-PBE-relaxed structure.
Peak positions follow from Bragg's law for the DFT cell and can differ from measured ones.

Largest 8 diffraction maxima, low angle first, 15 to 90 degrees two-theta:
17.1°, rel. 100.0
21.8°, rel. 25.6
27.4°, rel. 34.5
28.1°, rel. 37.3
29.3°, rel. 54.6
30.1°, rel. 26.3
32.9°, rel. 22.6
44.1°, rel. 24.1

Structural model:
```
Ni3RhBr9
1.0
8.781 -4.490 0.000
8.781 4.490 0.000
-7.896 0.000 9.877
Ni Rh Br
6 2 18
direct
0.053 0.947 0.500 Ni
0.282 0.524 0.614 Ni
0.524 0.282 0.114 Ni
0.583 0.707 0.456 Ni
0.707 0.583 0.956 Ni
0.947 0.053 0.000 Ni
0.052 0.480 0.778 Rh
0.480 0.052 0.278 Rh
0.025 0.741 0.518 Br
0.059 0.770 0.842 Br
0.074 0.176 0.714 Br
0.174 0.347 0.595 Br
0.176 0.074 0.214 Br
0.274 0.799 0.406 Br
0.347 0.174 0.095 Br
0.366 0.407 0.941 Br
0.407 0.366 0.441 Br
0.452 0.696 0.786 Br
0.581 0.960 0.472 Br
0.597 0.727 0.134 Br
0.696 0.452 0.286 Br
0.727 0.597 0.634 Br
0.741 0.025 0.018 Br
0.770 0.059 0.342 Br
0.799 0.274 0.906 Br
0.960 0.581 0.972 Br
```


(2)
Theoretical powder diffraction line list of TiVTe2 for copper Kα, from a GGA-PBE-relaxed structure.
Peak positions follow from Bragg's law for the DFT cell and can differ from measured ones.

Largest 8 diffraction maxima, low angle first, 15 to 90 degrees two-theta:
23.5°, rel. 44.5
27.0°, rel. 100.0
27.3°, rel. 49.1
28.3°, rel. 89.5
36.3°, rel. 69.1
42.5°, rel. 29.7
42.7°, rel. 36.1
48.1°, rel. 41.1

Structural model:
```
TiVTe2
1.0
8.444 0.000 0.000
0.000 6.527 0.000
-3.770 0.000 7.646
Ti V Te
4 4 8
direct
0.024 0.042 0.304 Ti
0.024 0.458 0.804 Ti
0.976 0.542 0.196 Ti
0.976 0.958 0.696 Ti
0.115 0.624 0.575 V
0.115 0.876 0.075 V
0.885 0.124 0.925 V
0.885 0.376 0.425 V
0.207 0.227 0.641 Te
0.207 0.273 0.141 Te
0.296 0.742 0.405 Te
0.296 0.758 0.905 Te
0.704 0.242 0.095 Te
0.704 0.258 0.595 Te
0.793 0.727 0.859 Te
0.793 0.773 0.359 Te
```